(1)
Zr3MnCo8: computed XRD peak list (a wavelength of 1.5418 Å), based on a crystal structure in Alexandria, relaxed with GGA-PBE.
Peak positions follow from Bragg's law for the DFT cell and can differ from measured ones.

Principal peaks in the range 10° ≤ 2θ ≤ 80°, in order of rising 2θ:
3.149 Å, I 1.5, hkl 0 1 5; 2.642 Å, I 2.0, hkl 1 0 7; 2.427 Å, I 38.4, hkl 1 1 0; 2.069 Å, I 100.0, hkl 2 0 2; 1.981 Å, I 30.9, hkl 0 2 4; 1.716 Å, I 1.6, hkl 2 0 8; 1.401 Å, I 12.0, hkl 3 0 0; 1.327 Å, I 1.4, hkl 1 1 15; 1.321 Å, I 27.4, hkl 2 1 10; 1.213 Å, I 22.3, hkl 2 2 0

Cell and atoms:
a b c (Å): 4.8520 4.8520 23.7854
angles (deg): 90.00 90.00 120.00
Space group R3m (No. 160, hexagonal axes)
Asymmetric unit:
Zr  0.0000  0.0000  0.0000 x3
Zr  0.0000  0.0000  0.1283 x3
Zr  0.0000  0.0000  0.5120 x3
Mn  0.0000  0.0000  0.6333 x3
Co  0.0000  0.0000  0.3172 x3
Co  0.0000  0.0000  0.8173 x3
Co  0.1675  0.3351  0.4002 x9
Co  0.1677  0.3353  0.9015 x9

---

(2)
Co3Mo: computed XRD peak list (a wavelength of 1.5418 Å), based on a crystal structure in Alexandria, relaxed with GGA-PBE.
Peak positions follow from Bragg's law for the DFT cell and can differ from measured ones.

Principal peaks in the range 10° ≤ 2θ ≤ 80°, in order of rising 2θ:
4.170 Å, I 5.2, hkl 2 0 0; 3.322 Å, I 3.1, hkl 2 0 -1; 2.765 Å, I 4.6, hkl 2 0 1; 2.488 Å, I 3.4, hkl 1 1 0; 2.109 Å, I 100.0, hkl 1 1 1; 2.085 Å, I 96.4, hkl 2 0 -2; 1.827 Å, I 63.0, hkl 3 1 -1; 1.795 Å, I 28.7, hkl 2 0 2; 1.303 Å, I 10.0, hkl 0 2 0; 1.280 Å, I 44.0, hkl 6 0 -2

Cell and atoms:
a b c (Å): 8.482 2.606 4.409
angles (deg): 90.00 100.47 90.00
Space group C2/m (No. 12)
Asymmetric unit:
Co  0.000  0.000  0.000 x2
Co  0.243  0.500  0.235 x4
Mo  0.000  0.500  0.500 x2

---

(3)
Co6Mo7: computed XRD peak list (a wavelength of 1.5418 Å), based on a crystal structure in Alexandria, relaxed with GGA-PBE.
Peak positions follow from Bragg's law for the DFT cell and can differ from measured ones.

Principal peaks in the range 10° ≤ 2θ ≤ 80°, in order of rising 2θ:
4.291 Å, I 19.3, hkl 0 0 6; 2.528 Å, I 14.7, hkl 1 1 0; 2.180 Å, I 100.0, hkl 0 2 1; 2.159 Å, I 18.0, hkl 2 0 2; 2.145 Å, I 20.2, hkl 0 0 12; 2.064 Å, I 30.1, hkl 0 1 11; 2.015 Å, I 42.5, hkl 2 0 5; 1.881 Å, I 25.1, hkl 0 2 7; 1.264 Å, I 22.3, hkl 2 2 0; 1.245 Å, I 19.7, hkl 2 0 17

Cell and atoms:
a b c (Å): 5.0567 5.0567 25.7438
angles (deg): 90.00 90.00 120.00
Space group R-3m (No. 166, hexagonal axes)
Asymmetric unit:
Co  0.0000  0.0000  0.0436 x6
Co  0.0000  0.0000  0.1495 x6
Co  0.0000  0.0000  0.3334 x6
Mo  0.0000  0.0000  0.5000 x3
Mo  0.0036  0.5018  0.9149 x18